# 1
Structure and calculated powder diffractogram of Pr3Zn2Au6 (a GGA-PBE-relaxed structure; copper Kα).
Lines closer than 0.1° are merged.

The 10 most intense peaks (5° ≤ 2θ ≤ 70°), by intensity:
2θ = 35.63°, I = 100; 2θ = 40.27°, I = 80; 2θ = 31.68°, I = 71; 2θ = 40.59°, I = 43; 2θ = 14.20°, I = 35; 2θ = 55.10°, I = 30; 2θ = 58.27°, I = 27; 2θ = 35.99°, I = 25; 2θ = 29.09°, I = 24; 2θ = 38.17°, I = 20

Atomic structure:
abc: 12.873 12.873 12.873
angles: 159.96 159.96 28.48
Fractional positions:
Pr (0.000, 0.000, 0.000)
Pr (0.196, 0.196, 0.000)
Pr (0.804, 0.804, 0.000)
Zn (0.451, 0.451, 0.000)
Zn (0.549, 0.549, 0.000)
Au (0.102, 0.602, 0.500)
Au (0.319, 0.319, 0.000)
Au (0.398, 0.898, 0.500)
Au (0.602, 0.102, 0.500)
Au (0.681, 0.681, 0.000)
Au (0.898, 0.398, 0.500)


# 2
Structure and calculated powder diffractogram of ErPu6 (a GGA-PBE-relaxed structure; copper Kα).
Lines closer than 0.1° are merged.

The 10 most intense peaks (5° ≤ 2θ ≤ 70°), by intensity:
2θ = 32.81°, I = 100; 2θ = 51.11°, I = 59; 2θ = 47.08°, I = 48; 2θ = 18.77°, I = 43; 2θ = 26.66°, I = 42; 2θ = 54.93°, I = 37; 2θ = 62.08°, I = 17; 2θ = 65.48°, I = 14; 2θ = 42.77°, I = 11; 2θ = 38.07°, I = 8

Atomic structure:
abc: 6.686 6.686 6.686
angles: 90.00 90.00 90.00
Fractional positions:
Er (0.000, 0.000, 0.000)
Er (0.500, 0.500, 0.500)
Pu (0.000, 0.250, 0.500)
Pu (0.000, 0.500, 0.250)
Pu (0.000, 0.500, 0.750)
Pu (0.000, 0.750, 0.500)
Pu (0.250, 0.000, 0.500)
Pu (0.250, 0.500, 0.000)
Pu (0.500, 0.000, 0.250)
Pu (0.500, 0.000, 0.750)
Pu (0.500, 0.250, 0.000)
Pu (0.500, 0.750, 0.000)
Pu (0.750, 0.000, 0.500)
Pu (0.750, 0.500, 0.000)


# 3
Structure and calculated powder diffractogram of LiAcAlCu2 (a GGA-PBE-relaxed structure; copper Kα).
Lines closer than 0.1° are merged.

The 10 most intense peaks (5° ≤ 2θ ≤ 70°), by intensity:
2θ = 31.99°, I = 100; 2θ = 29.85°, I = 67; 2θ = 33.97°, I = 64; 2θ = 45.87°, I = 62; 2θ = 15.85°, I = 55; 2θ = 54.36°, I = 47; 2θ = 64.48°, I = 38; 2θ = 42.73°, I = 36; 2θ = 22.46°, I = 35; 2θ = 62.04°, I = 17

Atomic structure:
abc: 4.233 4.233 11.185
angles: 90.00 90.00 90.00
Fractional positions:
Li (0.000, 0.000, 0.000)
Li (0.500, 0.500, 0.500)
Ac (0.000, 0.500, 0.250)
Ac (0.500, 0.000, 0.750)
Al (0.000, 0.000, 0.500)
Al (0.500, 0.500, 0.000)
Cu (0.000, 0.500, 0.633)
Cu (0.000, 0.500, 0.867)
Cu (0.500, 0.000, 0.133)
Cu (0.500, 0.000, 0.367)


# 4
Structure and calculated powder diffractogram of Mn2Al2Sn (a GGA-PBE-relaxed structure; copper Kα).
Lines closer than 0.1° are merged.

The 10 most intense peaks (5° ≤ 2θ ≤ 70°), by intensity:
2θ = 42.54°, I = 100; 2θ = 39.45°, I = 85; 2θ = 25.35°, I = 70; 2θ = 50.17°, I = 64; 2θ = 37.02°, I = 49; 2θ = 69.41°, I = 46; 2θ = 31.67°, I = 42; 2θ = 26.52°, I = 29; 2θ = 37.86°, I = 26; 2θ = 46.12°, I = 25

Atomic structure:
abc: 6.721 6.721 3.514
angles: 90.00 90.00 90.00
Fractional positions:
Mn (0.137, 0.363, 0.000)
Mn (0.363, 0.863, 0.000)
Mn (0.637, 0.137, 0.000)
Mn (0.863, 0.637, 0.000)
Al (0.151, 0.651, 0.500)
Al (0.349, 0.151, 0.500)
Al (0.651, 0.849, 0.500)
Al (0.849, 0.349, 0.500)
Sn (0.000, 0.000, 0.000)
Sn (0.500, 0.500, 0.000)


# 5
Structure and calculated powder diffractogram of RbBaCo2Cl8 (a GGA-PBE-relaxed structure; copper Kα).
Lines closer than 0.1° are merged.

The 10 most intense peaks (5° ≤ 2θ ≤ 70°), by intensity:
2θ = 19.49°, I = 100; 2θ = 26.35°, I = 51; 2θ = 32.32°, I = 42; 2θ = 28.99°, I = 41; 2θ = 46.20°, I = 37; 2θ = 46.50°, I = 34; 2θ = 27.95°, I = 29; 2θ = 42.70°, I = 26; 2θ = 32.98°, I = 25; 2θ = 48.17°, I = 16

Atomic structure:
abc: 10.416 10.416 10.416
angles: 37.90 37.90 37.90
Fractional positions:
Rb (0.000, 0.000, 0.000)
Ba (0.500, 0.500, 0.500)
Co (0.256, 0.256, 0.256)
Co (0.744, 0.744, 0.744)
Cl (0.058, 0.441, 0.811)
Cl (0.189, 0.942, 0.559)
Cl (0.331, 0.331, 0.331)
Cl (0.441, 0.811, 0.058)
Cl (0.559, 0.189, 0.942)
Cl (0.669, 0.669, 0.669)
Cl (0.811, 0.058, 0.441)
Cl (0.942, 0.559, 0.189)


# 6
Structure and calculated powder diffractogram of K6Ag2O (a GGA-PBE-relaxed structure; copper Kα).
Lines closer than 0.1° are merged.

The 10 most intense peaks (5° ≤ 2θ ≤ 70°), by intensity:
2θ = 27.57°, I = 100; 2θ = 31.94°, I = 58; 2θ = 45.80°, I = 38; 2θ = 54.30°, I = 37; 2θ = 22.44°, I = 33; 2θ = 15.82°, I = 19; 2θ = 39.39°, I = 14; 2θ = 35.83°, I = 13; 2θ = 56.92°, I = 12; 2θ = 61.96°, I = 8

Atomic structure:
abc: 7.925 7.925 7.925
angles: 60.00 60.00 60.00
Fractional positions:
K (0.232, 0.232, 0.768)
K (0.232, 0.768, 0.232)
K (0.232, 0.768, 0.768)
K (0.768, 0.232, 0.232)
K (0.768, 0.232, 0.768)
K (0.768, 0.768, 0.232)
Ag (0.250, 0.250, 0.250)
Ag (0.750, 0.750, 0.750)
O (0.000, 0.000, 0.000)


# 7
Structure and calculated powder diffractogram of Zr2Ti3In3 (a GGA-PBE-relaxed structure; copper Kα).
Lines closer than 0.1° are merged.

The 10 most intense peaks (5° ≤ 2θ ≤ 70°), by intensity:
2θ = 35.97°, I = 100; 2θ = 40.52°, I = 17; 2θ = 41.91°, I = 16; 2θ = 42.87°, I = 15; 2θ = 59.71°, I = 10; 2θ = 21.20°, I = 10; 2θ = 60.46°, I = 10; 2θ = 61.51°, I = 10; 2θ = 25.91°, I = 9; 2θ = 41.20°, I = 3

Atomic structure:
abc: 4.219 4.311 17.809
angles: 90.00 90.00 90.00
Fractional positions:
Zr (0.000, 0.000, 0.246)
Zr (0.000, 0.000, 0.754)
Zr (0.500, 0.500, 0.254)
Zr (0.500, 0.500, 0.746)
Ti (0.000, 0.000, 0.000)
Ti (0.000, 0.500, 0.383)
Ti (0.000, 0.500, 0.617)
Ti (0.500, 0.000, 0.117)
Ti (0.500, 0.000, 0.883)
Ti (0.500, 0.500, 0.500)
In (0.000, 0.000, 0.500)
In (0.000, 0.500, 0.123)
In (0.000, 0.500, 0.877)
In (0.500, 0.000, 0.377)
In (0.500, 0.000, 0.623)
In (0.500, 0.500, 0.000)